# 1
NaYb3Ti2Sb2O14: simulated X-ray powder pattern (a wavelength of 1.5418 Å), based on a DFT-relaxed cell (GGA-PBE, Alexandria).

Principal peaks in the range 2θ from 5° to 70°, by angle:
2theta, I/Imax, (hkl)
15.00, 187, 2 0 -1
17.19, 323, 2 0 0
29.83, 1000, 2 2 0
30.11, 477, 0 0 2
30.29, 480, 4 0 -2
34.80, 609, 4 0 0
49.90, 304, 2 2 2
50.14, 305, 6 2 -2
59.26, 281, 6 2 0
59.68, 204, 2 2 -4

Crystal structure
```
data_NaYb3Ti2Sb2O14
_space_group_name_H-M_alt 'C 1 2/m 1'
_space_group_IT_number 12
_cell_length_a 12.5635
_cell_length_b 7.3549
_cell_length_c 7.2252
_cell_angle_alpha 90.00
_cell_angle_beta 124.75
_cell_angle_gamma 90.00
loop_
_space_group_symop_operation_xyz
'x,y,z'
'-x,-y,-z'
'-x,y,-z'
'x,-y,z'
'x+1/2,y+1/2,z'
'-x+1/2,-y+1/2,-z'
'-x+1/2,y+1/2,-z'
'x+1/2,-y+1/2,z'
loop_
_atom_site_label
_atom_site_type_symbol
_atom_site_fract_x
_atom_site_fract_y
_atom_site_fract_z
Na1 Na 0.0000 0.0000 0.0000
Yb1 Yb 0.0000 0.0000 0.5000
Yb2 Yb 0.2500 0.2500 0.0000
Ti1 Ti 0.0000 0.5000 0.0000
Ti2 Ti 0.0000 0.5000 0.5000
Sb1 Sb 0.2500 0.2500 0.5000
O1 O 0.0696 0.5000 0.8179
O2 O 0.1240 0.2991 0.5788
O3 O 0.1294 0.3060 0.1744
O4 O 0.1338 0.0000 0.8693
O5 O 0.1691 0.0000 0.4249
```

***

# 2
ScTl3F6: simulated X-ray powder pattern (a wavelength of 1.5418 Å), based on a DFT-relaxed cell (GGA-PBE, Alexandria).

Principal peaks in the range 2θ from 5° to 70°, by angle:
2theta, I/Imax, (hkl)
16.55, 134, 1 0 1
27.04, 1000, 1 1 2
27.48, 568, 2 0 0
37.96, 163, 0 0 4
39.25, 253, 2 2 0
47.49, 249, 2 0 4
48.31, 476, 3 1 2
55.74, 175, 2 2 4
62.12, 110, 1 1 6
64.15, 126, 4 2 0

Crystal structure
```
data_ScTl3F6
_space_group_name_H-M_alt 'P 4/m n c'
_space_group_IT_number 128
_space_group_name_Hall '-P 4 2n'
_cell_length_a 6.4923
_cell_length_b 6.4923
_cell_length_c 9.4821
_cell_angle_alpha 90.00
_cell_angle_beta 90.00
_cell_angle_gamma 90.00
loop_
_atom_site_label
_atom_site_type_symbol
_atom_site_fract_x
_atom_site_fract_y
_atom_site_fract_z
Sc1 Sc 0.0000 0.0000 0.0000
Tl1 Tl 0.0000 0.0000 0.5000
Tl2 Tl 0.0000 0.5000 0.2500
F1 F 0.0000 0.0000 0.2154
F2 F 0.1312 0.2863 0.0000
```

***

# 3
La4Pm9Tl11: simulated X-ray powder pattern (a wavelength of 1.5418 Å), based on a DFT-relaxed cell (GGA-PBE, Alexandria).

Principal peaks in the range 2θ from 5° to 70°, by angle:
2theta, I/Imax, (hkl)
31.22, 681, 4 6 0
31.37, 798, 1 5 1
32.59, 1000, 4 0 1
32.86, 837, 5 5 0
33.41, 904, 0 6 1
36.69, 357, 5 1 1
49.88, 279, 0 0 2
56.78, 522, 5 11 1
59.26, 447, 9 5 1
61.03, 289, 5 5 2

Crystal structure
```
data_La4Pm9Tl11
_space_group_name_H-M_alt 'C m m m'
_space_group_IT_number 65
_space_group_name_Hall '-C 2 2'
_cell_length_a 16.6566
_cell_length_b 23.6927
_cell_length_c 3.6564
_cell_angle_alpha 90.00
_cell_angle_beta 90.00
_cell_angle_gamma 90.00
loop_
_atom_site_label
_atom_site_type_symbol
_atom_site_fract_x
_atom_site_fract_y
_atom_site_fract_z
La1 La 0.1696 0.0819 0.0000
Pm1 Pm 0.0000 0.0000 0.0000
Pm2 Pm 0.1078 0.4045 0.0000
Pm3 Pm 0.1142 0.2248 0.0000
Tl1 Tl 0.0000 0.1237 0.5000
Tl2 Tl 0.0000 0.3114 0.5000
Tl3 Tl 0.0000 0.5000 0.5000
Tl4 Tl 0.2041 0.5000 0.5000
Tl5 Tl 0.2263 0.3173 0.5000
```

***

# 4
K4Rb7Ba: simulated X-ray powder pattern (a wavelength of 1.5418 Å), based on a DFT-relaxed cell (GGA-PBE, Alexandria).

Principal peaks in the range 2θ from 5° to 70°, by angle:
2theta, I/Imax, (hkl)
22.16, 334, 0 0 12
22.48, 1000, 1 0 4
25.92, 699, 0 1 8
36.78, 266, 1 0 16
37.19, 262, 1 1 0
43.35, 162, 0 1 20
43.71, 316, 1 1 12
43.89, 162, 0 2 4
45.89, 143, 2 0 8
58.85, 132, 2 1 4

Crystal structure
```
data_K4Rb7Ba
_space_group_name_H-M_alt 'P -3 m 1'
_space_group_IT_number 164
_space_group_name_Hall '-P 3 2"'
_cell_length_a 4.8355
_cell_length_b 4.8355
_cell_length_c 48.1477
_cell_angle_alpha 90.00
_cell_angle_beta 90.00
_cell_angle_gamma 120.00
loop_
_atom_site_label
_atom_site_type_symbol
_atom_site_fract_x
_atom_site_fract_y
_atom_site_fract_z
K1 K 0.3333 0.6667 0.1649
K2 K 0.3333 0.6667 0.4170
Rb1 Rb 0.0000 0.0000 0.2472
Rb2 Rb 0.0000 0.0000 0.5000
Rb3 Rb 0.3333 0.6667 0.6657
Rb4 Rb 0.3333 0.6667 0.9179
Ba1 Ba 0.0000 0.0000 0.0000
```

***

# 5
AsSe6IF6: simulated X-ray powder pattern (a wavelength of 1.5418 Å), based on a DFT-relaxed cell (GGA-PBE, Alexandria).

Principal peaks in the range 2θ from 5° to 70°, by angle:
2theta, I/Imax, (hkl)
10.94, 620, 1 0 0
15.00, 278, 1 0 -2
16.49, 307, 1 1 0
19.44, 639, 1 1 -2
24.64, 837, 1 0 2
25.26, 261, 2 1 0
27.13, 1000, 1 2 0
30.27, 370, 2 0 -4
32.66, 524, 3 1 -3
42.77, 272, 2 2 2

Crystal structure
```
data_AsSe6IF6
_space_group_name_H-M_alt 'P 1 2/c 1'
_space_group_IT_number 13
_cell_length_a 9.3504
_cell_length_b 7.1963
_cell_length_c 11.9598
_cell_angle_alpha 90.00
_cell_angle_beta 120.10
_cell_angle_gamma 90.00
loop_
_space_group_symop_operation_xyz
'x,y,z'
'-x,-y,-z'
'-x,y,-z+1/2'
'x,-y,z+1/2'
loop_
_atom_site_label
_atom_site_type_symbol
_atom_site_fract_x
_atom_site_fract_y
_atom_site_fract_z
As1 As 0.0000 0.0000 0.0000
Se1 Se 0.2371 0.4298 0.3842
Se2 Se 0.3336 0.2568 0.8860
Se3 Se 0.4417 0.2409 0.3911
I1 I 0.5000 0.2788 0.7500
F1 F 0.0516 0.2062 0.5946
F2 F 0.0754 0.0996 0.4038
F3 F 0.2000 0.0929 0.1064
```

***

# 6
Rb2TlIF4: simulated X-ray powder pattern (a wavelength of 1.5418 Å), based on a DFT-relaxed cell (GGA-PBE, Alexandria).

Principal peaks in the range 2θ from 5° to 70°, by angle:
2theta, I/Imax, (hkl)
12.81, 275, 1 1 0
25.79, 1000, 2 2 0
26.03, 687, 0 4 0
26.57, 861, 2 2 -2
28.72, 602, 0 0 2
35.52, 329, 4 0 -2
39.14, 466, 0 4 2
44.56, 302, 4 4 -2
45.77, 275, 2 6 0
46.25, 272, 2 6 -2

Crystal structure
```
data_Rb2TlIF4
_space_group_name_H-M_alt 'C 1 2/c 1'
_space_group_IT_number 15
_cell_length_a 10.1184
_cell_length_b 13.6938
_cell_length_c 7.8618
_cell_angle_alpha 90.00
_cell_angle_beta 127.75
_cell_angle_gamma 90.00
loop_
_space_group_symop_operation_xyz
'x,y,z'
'-x,-y,-z'
'-x,y,-z+1/2'
'x,-y,z+1/2'
'x+1/2,y+1/2,z'
'-x+1/2,-y+1/2,-z'
'-x+1/2,y+1/2,-z+1/2'
'x+1/2,-y+1/2,z+1/2'
loop_
_atom_site_label
_atom_site_type_symbol
_atom_site_fract_x
_atom_site_fract_y
_atom_site_fract_z
Rb1 Rb 0.0000 0.0000 0.0000
Rb2 Rb 0.2500 0.2500 0.0000
Tl1 Tl 0.0000 0.5000 0.0000
I1 I 0.2500 0.2500 0.5000
F1 F 0.0808 0.2079 0.5640
F2 F 0.2267 0.4487 0.9584
```

***

# 7
Sm2Se3Cl: simulated X-ray powder pattern (a wavelength of 1.5418 Å), based on a DFT-relaxed cell (GGA-PBE, Alexandria).

Principal peaks in the range 2θ from 5° to 70°, by angle:
2theta, I/Imax, (hkl)
16.08, 153, 0 1 2
22.74, 588, 1 1 0
22.89, 339, 1 0 4
26.80, 493, 1 1 3
32.48, 404, 0 2 4
36.54, 658, 1 1 6
39.97, 1000, 3 0 0
40.29, 184, 0 1 8
55.23, 179, 2 2 6
62.91, 277, 3 2 4

Crystal structure
```
data_Sm2Se3Cl
_space_group_name_H-M_alt 'R -3 c'
_space_group_IT_number 167
_space_group_name_Hall '-R 3 2"c'
_cell_length_a 7.8209
_cell_length_b 7.8209
_cell_length_c 18.9756
_cell_angle_alpha 90.00
_cell_angle_beta 90.00
_cell_angle_gamma 120.00
loop_
_atom_site_label
_atom_site_type_symbol
_atom_site_fract_x
_atom_site_fract_y
_atom_site_fract_z
Sm1 Sm 0.0000 0.0000 0.1426
Se1 Se 0.0000 0.2775 0.2500
Cl1 Cl 0.0000 0.0000 0.0000
```

***

# 8
Hf3Al3Rh: simulated X-ray powder pattern (a wavelength of 1.5418 Å), based on a DFT-relaxed cell (GGA-PBE, Alexandria).

Principal peaks in the range 2θ from 5° to 70°, by angle:
2theta, I/Imax, (hkl)
24.98, 256, 0 2 3
30.05, 703, 0 2 4
34.01, 682, 1 1 3
36.90, 1000, 1 3 0
37.85, 262, 0 0 6
38.00, 784, 1 1 4
38.40, 417, 0 4 3
42.03, 205, 0 4 4
53.89, 274, 1 3 6
57.15, 271, 1 5 4

Crystal structure
```
data_Hf3Al3Rh
_space_group_name_H-M_alt 'C m c m'
_space_group_IT_number 63
_space_group_name_Hall '-C 2c 2'
_cell_length_a 3.3139
_cell_length_b 10.7781
_cell_length_c 14.2630
_cell_angle_alpha 90.00
_cell_angle_beta 90.00
_cell_angle_gamma 90.00
loop_
_atom_site_label
_atom_site_type_symbol
_atom_site_fract_x
_atom_site_fract_y
_atom_site_fract_z
Hf1 Hf 0.0000 0.0075 0.2500
Hf2 Hf 0.0000 0.3133 0.5915
Al1 Al 0.0000 0.2684 0.2500
Al2 Al 0.0000 0.4062 0.1050
Rh1 Rh 0.0000 0.0000 0.0000
```